Starting from DFT lattice parameters and positions (PBE), the powder XRD pattern of BaY2Pt9 was computed for Cu Ka.
Lines closer than 0.1° are merged.

Main lines, in order of falling intensity (5° ≤ 2θ ≤ 70°):
hkl, two_theta, I/Imax
1 1 6, 38.47, 100.0
2 0 5, 41.43, 53.9
1 0 1, 18.85, 41.7
0 0 12, 41.01, 30.6
2 2 0, 67.85, 28.1
0 2 1, 37.75, 26.9
0 3 6, 61.87, 25.3
0 2 7, 44.86, 21.5
0 1 11, 42.11, 18.3
1 1 0, 32.41, 14.4

Atomic structure:
Cell: 5.5253 5.5253 26.4109 Å, 90.00 90.00 120.00°
Space group R-3m (No. 166, hexagonal axes)
Inequivalent atoms, fractional coordinates:
Ba  0.0000  0.0000  0.0000
Y  0.0000  0.0000  0.1408
Pt  0.0000  0.0000  0.3320
Pt  0.0000  0.0000  0.5000
Pt  0.0049  0.5024  0.9136

---

Starting from DFT lattice parameters and positions (PBE), the powder XRD pattern of Ba3Zn2Pt2 was computed for Cu Ka.
Lines closer than 0.1° are merged.

Main lines, in order of falling intensity (5° ≤ 2θ ≤ 70°):
hkl, two_theta, I/Imax
1 1 2, 29.01, 100.0
0 1 5, 29.37, 88.8
1 1 4, 32.98, 82.8
1 0 7, 37.38, 62.8
0 2 0, 38.41, 47.6
1 2 7, 54.67, 41.7
2 0 0, 40.33, 41.5
2 1 5, 50.67, 38.7
1 1 0, 27.57, 36.9
2 2 0, 56.92, 30.2

Atomic structure:
Cell: 4.472 4.687 19.977 Å, 90.00 90.00 90.00°
Space group Immm (No. 71)
Inequivalent atoms, fractional coordinates:
Ba  0.000  0.000  0.000
Ba  0.000  0.500  0.314
Zn  0.000  0.000  0.433
Pt  0.000  0.500  0.135

---

Starting from DFT lattice parameters and positions (PBE), the powder XRD pattern of Ba2Zn9Pt6 was computed for Cu Ka.
Lines closer than 0.1° are merged.

Main lines, in order of falling intensity (5° ≤ 2θ ≤ 70°):
hkl, two_theta, I/Imax
1 1 3, 38.12, 100.0
1 1 0, 29.59, 54.8
1 0 0, 16.96, 40.1
3 0 3, 58.27, 29.2
2 0 3, 42.00, 28.6
2 2 0, 61.42, 20.3
1 1 6, 57.46, 14.6
0 0 6, 48.07, 12.6
0 0 3, 23.50, 12.2
3 0 0, 52.50, 11.4

Atomic structure:
Cell: 6.0383 6.0383 11.3577 Å, 90.00 90.00 120.00°
Space group P6/mmm (No. 191)
Inequivalent atoms, fractional coordinates:
Ba  0.0000  0.0000  0.1905
Zn  0.0000  0.5000  0.0000
Zn  0.0000  0.5000  0.3393
Pt  0.3333  0.6667  0.1704
Pt  0.3333  0.6667  0.5000

---

Starting from DFT lattice parameters and positions (PBE), the powder XRD pattern of Ba8ZnPt2 was computed for Cu Ka.
Lines closer than 0.1° are merged.

Main lines, in order of falling intensity (5° ≤ 2θ ≤ 70°):
hkl, two_theta, I/Imax
2 2 0, 34.97, 100.0
2 2 2, 44.67, 82.1
2 0 1, 24.11, 79.9
2 0 0, 19.98, 75.2
0 2 2, 33.75, 60.5
1 0 1, 16.69, 58.9
0 0 2, 26.92, 54.2
1 1 0, 17.28, 51.5
2 1 1, 29.82, 33.2
2 2 4, 67.29, 30.0

Atomic structure:
Cell: 10.2635 10.2635 6.6247 Å, 90.00 90.00 120.00°
Space group P-3 (No. 147)
Inequivalent atoms, fractional coordinates:
Ba  0.1637  0.3291  0.2471
Ba  0.3333  0.6667  0.7478
Zn  0.0000  0.0000  0.5000
Pt  0.3333  0.6667  0.2494

---

Starting from DFT lattice parameters and positions (PBE), the powder XRD pattern of Ba3Zn2Pt3 was computed for Cu Ka.
Lines closer than 0.1° are merged.

Main lines, in order of falling intensity (5° ≤ 2θ ≤ 70°):
hkl, two_theta, I/Imax
1 3 5, 40.69, 100.0
1 3 1, 30.33, 95.0
1 1 3, 26.53, 69.2
1 1 4, 30.21, 55.0
2 0 0, 39.69, 48.5
0 0 6, 32.57, 43.2
0 4 4, 37.11, 34.5
1 1 10, 60.22, 32.1
0 4 0, 29.86, 31.0
0 4 2, 31.83, 28.9

Atomic structure:
Cell: 4.541 11.958 16.495 Å, 90.00 90.00 90.00°
Space group Cmcm (No. 63)
Inequivalent atoms, fractional coordinates:
Ba  0.000  0.074  0.250
Ba  0.000  0.365  0.095
Zn  0.000  0.344  0.612
Pt  0.000  0.087  0.054
Pt  0.000  0.232  0.750

---

Starting from DFT lattice parameters and positions (PBE), the powder XRD pattern of Ba2Zn6Pt3 was computed for Cu Ka.
Lines closer than 0.1° are merged.

Main lines, in order of falling intensity (5° ≤ 2θ ≤ 70°):
hkl, two_theta, I/Imax
1 1 1, 30.39, 100.0
3 0 0, 39.11, 42.5
2 1 1, 40.27, 36.8
1 1 0, 22.29, 36.6
3 0 2, 58.32, 26.5
0 0 2, 41.48, 24.7
2 2 1, 50.32, 24.5
4 1 1, 65.51, 21.7
3 0 1, 44.50, 17.7
3 1 0, 47.44, 11.7

Atomic structure:
Cell: 7.9784 7.9784 4.3543 Å, 90.00 90.00 120.00°
Space group P-62m (No. 189)
Inequivalent atoms, fractional coordinates:
Ba  0.3333  0.6667  0.0000
Zn  0.0000  0.2901  0.5000
Zn  0.0000  0.8134  0.0000
Pt  0.0000  0.6360  0.5000

---

Starting from DFT lattice parameters and positions (PBE), the powder XRD pattern of Ba3ZnPt3 was computed for Cu Ka.
Lines closer than 0.1° are merged.

Main lines, in order of falling intensity (5° ≤ 2θ ≤ 70°):
hkl, two_theta, I/Imax
1 1 3, 29.91, 100.0
3 1 -2, 30.20, 55.6
3 1 -5, 37.11, 52.5
0 2 0, 39.53, 44.7
3 1 1, 33.72, 31.6
0 0 6, 36.73, 25.3
4 0 1, 35.50, 24.5
4 0 -2, 30.35, 21.6
7 1 -4, 58.56, 19.8
1 1 -1, 21.12, 19.5

Atomic structure:
Cell: 11.781 4.559 15.790 Å, 90.00 111.61 90.00°
Space group C2/m (No. 12)
Inequivalent atoms, fractional coordinates:
Ba  0.016  0.000  0.267
Ba  0.144  0.500  0.118
Ba  0.177  0.000  0.577
Zn  0.171  0.500  0.913
Pt  0.032  0.500  0.420
Pt  0.093  0.000  0.959
Pt  0.184  0.500  0.743

---

Starting from DFT lattice parameters and positions (PBE), the powder XRD pattern of Ba2Zn5Pt was computed for Cu Ka.
Lines closer than 0.1° are merged.

Main lines, in order of falling intensity (5° ≤ 2θ ≤ 70°):
hkl, two_theta, I/Imax
1 3 2, 31.00, 100.0
1 5 0, 32.30, 79.6
2 0 0, 37.44, 60.3
1 1 2, 27.10, 56.1
0 6 2, 37.14, 39.4
2 6 2, 53.76, 26.7
1 1 3, 34.67, 24.0
0 0 4, 38.44, 23.5
1 3 1, 26.13, 22.6
0 2 1, 14.08, 19.1

Atomic structure:
Cell: 4.804 16.968 9.366 Å, 90.00 90.00 90.00°
Space group Cmcm (No. 63)
Inequivalent atoms, fractional coordinates:
Ba  0.000  0.000  0.000
Ba  0.000  0.201  0.250
Zn  0.000  0.188  0.611
Zn  0.000  0.347  0.514
Zn  0.000  0.412  0.250
Pt  0.000  0.434  0.750

---

- Number 5 is which compound?
  Ba3Zn2Pt3

---

What did the sixth record say?
Starting from DFT lattice parameters and positions (PBE), the powder XRD pattern of Ba2Zn6Pt3 was computed for Cu Ka.
Lines closer than 0.1° are merged.

Main lines, in order of falling intensity (5° ≤ 2θ ≤ 70°):
hkl, two_theta, I/Imax
1 1 1, 30.39, 100.0
3 0 0, 39.11, 42.5
2 1 1, 40.27, 36.8
1 1 0, 22.29, 36.6
3 0 2, 58.32, 26.5
0 0 2, 41.48, 24.7
2 2 1, 50.32, 24.5
4 1 1, 65.51, 21.7
3 0 1, 44.50, 17.7
3 1 0, 47.44, 11.7

Atomic structure:
Cell: 7.9784 7.9784 4.3543 Å, 90.00 90.00 120.00°
Space group P-62m (No. 189)
Inequivalent atoms, fractional coordinates:
Ba  0.3333  0.6667  0.0000
Zn  0.0000  0.2901  0.5000
Zn  0.0000  0.8134  0.0000
Pt  0.0000  0.6360  0.5000